Structure and computed XRD peak list of TlH6Br2O2 (a cell relaxed with PBE; Cu Kα (weighted mean of Kα1 and Kα2)).
Kinematic intensities with the Lorentz-polarization factor, no thermal factor.

Principal peaks in the range 5 to 70 degrees two-theta, by intensity:
- hkl -1 1 1, 24.5 deg, intensity 100
- hkl 0 0 1, 13.1 deg, intensity 72
- hkl 0 1 -2, 27.0 deg, intensity 54
- hkl 0 1 -1, 17.3 deg, intensity 47
- hkl 1 0 2, 34.5 deg, intensity 39
- hkl 1 1 0, 28.9 deg, intensity 35
- hkl 1 -2 0, 29.0 deg, intensity 34
- hkl 1 1 -1, 29.2 deg, intensity 29

```
TlH6Br2O2
1.0
5.009 0.000 0.000
-2.478 6.080 0.000
-0.014 -1.777 6.733
Tl H Br O
1 6 2 2
direct
0.000 0.000 0.000
0.152 0.637 0.316
0.348 0.697 0.527
0.483 0.636 0.316
0.517 0.364 0.684
0.652 0.303 0.473
0.848 0.363 0.684
0.291 0.582 0.789
0.709 0.418 0.211
0.359 0.720 0.385
0.641 0.280 0.615
```